(1)
For NaTl2CuBr6, a cell relaxed with GGA-PBE gives the simulated X-ray diffraction stick pattern in this record (Cu Kα).

Structural model:
Cell lengths 7.5390, 7.5683, 12.9709 Å; angles 90.00, 125.17, 90.00 degrees
Positions (direct):
Na  0.0000  0.0000  0.0000
Na  0.0000  0.5000  0.5000
Tl  0.2379  0.0776  0.7564
Tl  0.2379  0.4224  0.2564
Tl  0.7621  0.5776  0.7436
Tl  0.7621  0.9224  0.2436
Cu  0.5000  0.0000  0.5000
Cu  0.5000  0.5000  0.0000
Br  0.1662  0.1783  0.4474
Br  0.1662  0.3217  0.9474
Br  0.2896  0.7042  0.4670
Br  0.2896  0.7958  0.9670
Br  0.3590  0.5133  0.7713
Br  0.3590  0.9867  0.2713
Br  0.6410  0.0133  0.7287
Br  0.6410  0.4867  0.2287
Br  0.7104  0.2042  0.0330
Br  0.7104  0.2958  0.5330
Br  0.8338  0.6783  0.0526
Br  0.8338  0.8217  0.5526

Main lines, by angle (2θ from 10° to 80°):
two_theta, d/Å, Rel. int.
23.58, 3.773, 62.4
28.98, 3.081, 100.0
29.16, 3.063, 43.6
33.56, 2.671, 54.4
33.81, 2.651, 51.0
34.64, 2.589, 46.1

(2)
For Nb3CuBr, a cell relaxed with GGA-PBE gives the simulated X-ray diffraction stick pattern in this record (Cu Kα).

Structural model:
Cell lengths 5.5715, 5.5715, 5.5715 Å; angles 91.64, 91.64, 91.64 degrees
Positions (direct):
Nb  0.0000  0.3512  0.6488
Nb  0.1488  0.8512  0.5000
Nb  0.3512  0.6488  0.0000
Nb  0.5000  0.1488  0.8512
Nb  0.6488  0.0000  0.3512
Nb  0.8512  0.5000  0.1488
Cu  0.0008  0.0008  0.0008
Cu  0.5008  0.5008  0.5008
Br  0.2512  0.2512  0.2512
Br  0.7512  0.7512  0.7512

Main lines, by angle (2θ from 10° to 80°):
two_theta, d/Å, Rel. int.
36.52, 2.461, 79.6
39.04, 2.307, 100.0
46.84, 1.940, 11.6
54.53, 1.683, 22.7
69.08, 1.360, 19.9
70.73, 1.332, 14.8